For CdCoGeP, the GGA-PBE geometry in Alexandria gives the simulated powder XRD pattern in this record (Cu Kα (weighted mean of Kα1 and Kα2)).
Lines closer than 0.1° are merged.

Principal peaks in the range 2θ from 10° to 80°, in order of falling intensity:
- 29.30°, I = 100, hkl 1 1 -1
- 36.75°, I = 73, hkl 1 1 -2
- 50.09°, I = 54, hkl 3 1 -1
- 30.70°, I = 44, hkl 2 0 0
- 45.46°, I = 39, hkl 1 1 2
- 34.71°, I = 30, hkl 1 1 1
- 49.01°, I = 30, hkl 0 2 0
- 28.48°, I = 28, hkl 1 1 0

Atomic structure:
abc: 6.278 3.718 6.578
angles: 90.00 111.91 90.00
Space group Cm (No. 8)
One atom of each set of equivalent atoms:
1 Cd 0.000 0.000 0.000 [2 per cell]
2 Co 0.372 0.500 0.569 [2 per cell]
3 Ge 0.450 0.000 0.343 [2 per cell]
4 P 0.237 0.000 0.639 [2 per cell]

***

For LaCdCoH6, the GGA-PBE geometry in Alexandria gives the simulated powder XRD pattern in this record (Cu Kα (weighted mean of Kα1 and Kα2)).
Lines closer than 0.1° are merged.

Principal peaks in the range 2θ from 10° to 80°, in order of falling intensity:
- 29.62°, I = 100, hkl 1 0 1
- 38.50°, I = 45, hkl 1 1 0
- 56.66°, I = 29, hkl 1 1 2
- 49.32°, I = 24, hkl 2 0 1
- 64.25°, I = 21, hkl 2 1 1
- 39.91°, I = 13, hkl 0 0 2
- 66.21°, I = 10, hkl 1 0 3
- 69.65°, I = 7, hkl 3 0 0

Atomic structure:
abc: 4.6762 4.6762 4.5178
angles: 90.00 90.00 120.00
Space group P-6m2 (No. 187)
One atom of each set of equivalent atoms:
1 La 0.0000 0.0000 0.0000 [1 per cell]
2 Cd 0.6667 0.3333 0.5000 [1 per cell]
3 Co 0.3333 0.6667 0.5000 [1 per cell]
4 H 0.0612 0.5306 0.2373 [6 per cell]

***

For Hf2CdCoSe, the GGA-PBE geometry in Alexandria gives the simulated powder XRD pattern in this record (Cu Kα (weighted mean of Kα1 and Kα2)).
Lines closer than 0.1° are merged.

Principal peaks in the range 2θ from 10° to 80°, in order of falling intensity:
- 30.04°, I = 100, hkl 1 1 1
- 34.34°, I = 91, hkl 2 0 0
- 17.67°, I = 65, hkl 0 0 1
- 50.43°, I = 61, hkl 2 0 2
- 35.77°, I = 41, hkl 0 0 2
- 38.88°, I = 37, hkl 2 0 1
- 49.36°, I = 32, hkl 2 2 0
- 62.44°, I = 32, hkl 2 2 2

Atomic structure:
abc: 5.222 5.222 5.020
angles: 90.00 90.00 90.00
Space group P4/mmm (No. 123)
One atom of each set of equivalent atoms:
1 Hf 0.000 0.500 0.000 [2 per cell]
2 Cd 0.000 0.000 0.000 [1 per cell]
3 Co 0.500 0.500 0.500 [1 per cell]
4 Se 0.000 0.000 0.500 [1 per cell]

***

What did the second record say?
For LaCdCoH6, the GGA-PBE geometry in Alexandria gives the simulated powder XRD pattern in this record (Cu Kα (weighted mean of Kα1 and Kα2)).
Lines closer than 0.1° are merged.

Principal peaks in the range 2θ from 10° to 80°, in order of falling intensity:
- 29.62°, I = 100, hkl 1 0 1
- 38.50°, I = 45, hkl 1 1 0
- 56.66°, I = 29, hkl 1 1 2
- 49.32°, I = 24, hkl 2 0 1
- 64.25°, I = 21, hkl 2 1 1
- 39.91°, I = 13, hkl 0 0 2
- 66.21°, I = 10, hkl 1 0 3
- 69.65°, I = 7, hkl 3 0 0

Atomic structure:
abc: 4.6762 4.6762 4.5178
angles: 90.00 90.00 120.00
Space group P-6m2 (No. 187)
One atom of each set of equivalent atoms:
1 La 0.0000 0.0000 0.0000 [1 per cell]
2 Cd 0.6667 0.3333 0.5000 [1 per cell]
3 Co 0.3333 0.6667 0.5000 [1 per cell]
4 H 0.0612 0.5306 0.2373 [6 per cell]

***

What did the first record say?
For CdCoGeP, the GGA-PBE geometry in Alexandria gives the simulated powder XRD pattern in this record (Cu Kα (weighted mean of Kα1 and Kα2)).
Lines closer than 0.1° are merged.

Principal peaks in the range 2θ from 10° to 80°, in order of falling intensity:
- 29.30°, I = 100, hkl 1 1 -1
- 36.75°, I = 73, hkl 1 1 -2
- 50.09°, I = 54, hkl 3 1 -1
- 30.70°, I = 44, hkl 2 0 0
- 45.46°, I = 39, hkl 1 1 2
- 34.71°, I = 30, hkl 1 1 1
- 49.01°, I = 30, hkl 0 2 0
- 28.48°, I = 28, hkl 1 1 0

Atomic structure:
abc: 6.278 3.718 6.578
angles: 90.00 111.91 90.00
Space group Cm (No. 8)
One atom of each set of equivalent atoms:
1 Cd 0.000 0.000 0.000 [2 per cell]
2 Co 0.372 0.500 0.569 [2 per cell]
3 Ge 0.450 0.000 0.343 [2 per cell]
4 P 0.237 0.000 0.639 [2 per cell]

***

> What is the formula in the third record?

Hf2CdCoSe